Simulated X-ray diffraction stick pattern
Compound: Li4V5O10
Radiation: a wavelength of 1.5418 Å
Structure: a DFT-relaxed cell (PBE+U, Alexandria)
Peak positions follow from Bragg's law for the DFT cell and can differ from measured ones.

Cell and atoms:
a b c (Å): 5.152 5.241 7.859
angles (deg): 71.25 71.67 80.27
Space group P1 (No. 1)
Symmetry-distinct sites (fractional):
Li: 0.000 0.000 0.000 (multiplicity 1)
Li: 0.001 0.841 0.377 (multiplicity 1)
Li: 0.003 0.385 0.201 (multiplicity 1)
Li: 0.487 0.106 0.291 (multiplicity 1)
V: 0.010 0.616 0.775 (multiplicity 1)
V: 0.497 0.711 0.097 (multiplicity 1)
V: 0.502 0.932 0.669 (multiplicity 1)
V: 0.514 0.306 0.888 (multiplicity 1)
V: 0.530 0.511 0.470 (multiplicity 1)
O: 0.269 0.825 0.543 (multiplicity 1)
O: 0.270 0.668 0.920 (multiplicity 1)
O: 0.286 0.059 0.116 (multiplicity 1)
O: 0.286 0.494 0.299 (multiplicity 1)
O: 0.289 0.288 0.728 (multiplicity 1)
O: 0.718 0.162 0.438 (multiplicity 1)
O: 0.725 0.934 0.849 (multiplicity 1)
O: 0.741 0.750 0.232 (multiplicity 1)
O: 0.742 0.579 0.643 (multiplicity 1)
O: 0.758 0.394 0.014 (multiplicity 1)

The 8 most intense peaks (10° ≤ 2θ ≤ 80°), in order of rising 2θ:
- (0 0 1), 12.38°, d 7.148, I = 593
- (0 1 0), 17.93°, d 4.948, I = 404
- (1 0 0), 18.19°, d 4.877, I = 1000
- (1 1 1), 22.49°, d 3.953, I = 253
- (1 1 -2), 42.33°, d 2.135, I = 650
- (-1 2 1), 42.51°, d 2.127, I = 678
- (2 1 3), 43.20°, d 2.094, I = 637
- (1 3 4), 61.92°, d 1.499, I = 341